Theoretical powder X-ray diffraction pattern
Compound: Ce3Se3N
Radiation: Cu Kα
Structure: a structure optimized by DFT (GGA-PBE)
No peak broadening, texture or thermal motion is included.

Most intense lines, 15 to 90 degrees two-theta, in order of rising 2θ:
- 26.55 deg, intensity 24
- 28.44 deg, intensity 100
- 33.70 deg, intensity 47
- 34.21 deg, intensity 43
- 36.59 deg, intensity 19
- 36.72 deg, intensity 22
- 38.19 deg, intensity 24
- 40.18 deg, intensity 20
- 42.54 deg, intensity 20
- 47.45 deg, intensity 19

Structural model:
```
data_Ce3Se3N
_cell_length_a 8.202
_cell_length_b 12.242
_cell_length_c 7.251
_cell_angle_alpha 90.00
_cell_angle_beta 100.58
_cell_angle_gamma 90.00
_space_group_name_H-M_alt 'C 1 2/m 1'
_space_group_IT_number 12
_space_group_name_Hall '-C 2y'
loop_
_atom_site_label
_atom_site_type_symbol
_atom_site_fract_x
_atom_site_fract_y
_atom_site_fract_z
Ce1 Ce 0.100 0.000 0.316
Ce2 Ce 0.195 0.350 0.219
Se1 Se 0.000 0.165 0.000
Se2 Se 0.000 0.241 0.500
Se3 Se 0.107 0.500 0.846
N1 N 0.180 0.000 0.645
```